Record 1
Calculated X-ray powder pattern of Ba5SiBr6O4 for Cu Kα, 1.54184 Å, from a DFT-relaxed cell (GGA-PBE, Alexandria).
Intensities are scaled so that the largest is 100.

Peak list (6 most intense, 10 to 90 degrees two-theta, in order of rising 2θ)
Position (°2θ)	I/Imax
27.57	30.0
28.21	100.0
31.03	81.1
31.65	38.8
31.83	49.8
32.58	42.8

Cell and atoms:
a = 9.227 Å, b = 9.227 Å, c = 12.163 Å
α = 97.97°, β = 97.97°, γ = 114.23°
Element x y z (fractional)
Ba (0.088, 0.243, 0.636)
Ba (0.209, 0.791, 0.750)
Ba (0.243, 0.088, 0.136)
Ba (0.321, 0.564, 0.017)
Ba (0.436, 0.679, 0.483)
Ba (0.564, 0.321, 0.517)
Ba (0.679, 0.436, 0.983)
Ba (0.757, 0.912, 0.864)
Ba (0.791, 0.209, 0.250)
Ba (0.912, 0.757, 0.364)
Si (0.424, 0.576, 0.750)
Si (0.576, 0.424, 0.250)
Br (0.000, 0.500, 0.500)
Br (0.019, 0.722, 0.952)
Br (0.152, 0.218, 0.366)
Br (0.218, 0.152, 0.866)
Br (0.245, 0.755, 0.250)
Br (0.278, 0.981, 0.548)
Br (0.500, 0.000, 0.000)
Br (0.722, 0.019, 0.452)
Br (0.755, 0.245, 0.750)
Br (0.782, 0.848, 0.134)
Br (0.848, 0.782, 0.634)
Br (0.981, 0.278, 0.048)
O (0.244, 0.525, 0.786)
O (0.404, 0.445, 0.635)
O (0.445, 0.404, 0.135)
O (0.475, 0.756, 0.714)
O (0.525, 0.244, 0.286)
O (0.555, 0.596, 0.865)
O (0.596, 0.555, 0.365)
O (0.756, 0.475, 0.214)

***

Record 2
Calculated X-ray powder pattern of BaSmBrO2 for Cu Kα, 1.54184 Å, from a DFT-relaxed cell (GGA-PBE, Alexandria).
Intensities are scaled so that the largest is 100.

Peak list (6 most intense, 10 to 90 degrees two-theta, in order of rising 2θ)
Position (°2θ)	I/Imax
24.11	85.8
29.18	67.5
32.71	100.0
41.74	36.7
48.78	56.2
54.01	47.5

Cell and atoms:
a = 4.328 Å, b = 4.328 Å, c = 7.069 Å
α = 90.00°, β = 90.00°, γ = 90.00°
Element x y z (fractional)
Ba (0.000, 0.000, 0.000)
Sm (0.500, 0.500, 0.314)
Br (0.500, 0.500, 0.734)
O (0.000, 0.500, 0.207)
O (0.500, 0.000, 0.207)